# Ba4Sm2Cu2O9
Computed powder X-ray diffraction pattern, Cu Ka. Input: DFT lattice parameters and positions (GGA-PBE).
Neutral-atom scattering factors, no anomalous dispersion.

Atomic structure:
```
34
Lattice="12.0629 0.0000 0.0000 0.0000 12.0629 0.0000 0.0000 0.0000 3.8955" Properties=species:S:1:pos:R:3 pbc="T T T"
Ba 1.3749 2.0715 0.9320
Ba 2.0715 10.6880 2.9635
Ba 3.9599 4.6566 1.0157
Ba 4.6566 8.1030 2.8798
Ba 7.4063 3.9599 2.8798
Ba 8.1030 7.4063 1.0157
Ba 9.9914 1.3749 2.9635
Ba 10.6880 9.9914 0.9320
Sm 1.3288 7.3603 0.9739
Sm 4.7026 1.3288 2.9216
Sm 7.3603 10.7341 2.9216
Sm 10.7341 4.7026 0.9739
Cu 1.1643 4.8672 2.9216
Cu 4.8672 10.8986 0.9739
Cu 7.1957 1.1643 0.9739
Cu 10.8986 7.1957 2.9216
O 0.0000 0.0000 0.0000
O 0.2970 8.5399 2.9187
O 1.0992 4.9323 0.9739
O 2.5085 6.3284 2.9246
O 2.9201 8.9516 0.9739
O 3.1113 2.9201 2.9216
O 3.5230 0.2970 0.9768
O 4.9323 10.9637 2.9216
O 5.7345 2.5085 0.9709
O 6.0314 6.0314 1.9478
O 6.3284 9.5544 0.9709
O 7.1306 1.0992 2.9216
O 8.5399 11.7659 0.9768
O 8.9516 9.1428 2.9216
O 9.1428 3.1113 0.9739
O 9.5544 5.7345 2.9246
O 10.9637 7.1306 0.9739
O 11.7659 3.5230 2.9187
```

Top 10 peaks for 10 to 80 degrees two-theta, in order of rising 2θ:
| hkl | d_spacing | 2θ (°) | intensity |
| --- | --- | --- | --- |
| 3 2 0 | 3.346 | 26.64 | 21 |
| 4 0 0 | 3.016 | 29.62 | 39 |
| 2 2 1 | 2.876 | 31.09 | 100 |
| 3 3 1 | 2.297 | 39.23 | 15 |
| 4 4 0 | 2.132 | 42.39 | 13 |
| 5 0 1 | 2.051 | 44.15 | 24 |
| 0 0 2 | 1.948 | 46.63 | 14 |
| 6 2 1 | 1.713 | 53.49 | 15 |
| 4 0 2 | 1.636 | 56.22 | 14 |
| 7 3 1 | 1.467 | 63.39 | 12 |